(1)
For In3S, a GGA-PBE-relaxed structure gives the calculated X-ray powder pattern in this record (Cu Ka).

Top 10 peaks for 2θ from 10° to 90°, in order of falling intensity:
- (1 2 1), 2.635 Å, rel. 1000
- (0 3 1), 2.940 Å, rel. 507
- (0 0 2), 2.772 Å, rel. 273
- (1 1 0), 3.454 Å, rel. 226
- (1 5 2), 1.515 Å, rel. 202
- (1 1 2), 2.162 Å, rel. 189
- (1 5 0), 1.809 Å, rel. 155
- (2 3 1), 1.554 Å, rel. 144
- (1 0 1), 3.055 Å, rel. 127
- (0 4 0), 2.601 Å, rel. 127

abc: 3.6617 10.4043 5.5434
angles: 90.00 90.00 90.00
Space group Imm2 (No. 44)
Asymmetric unit:
In: 0.0000 0.0000 0.0000 x2
In: 0.0000 0.2022 0.4423 x4
S: 0.0000 0.5000 0.1298 x2

---

(2)
For In2S13, a GGA-PBE-relaxed structure gives the calculated X-ray powder pattern in this record (Cu Ka).

Top 10 peaks for 2θ from 10° to 90°, in order of falling intensity:
- (0 1 8), 3.029 Å, rel. 1000
- (1 1 0), 3.420 Å, rel. 893
- (2 1 1), 2.232 Å, rel. 842
- (0 2 7), 2.386 Å, rel. 835
- (1 1 3), 3.214 Å, rel. 583
- (0 1 2), 5.462 Å, rel. 579
- (1 0 4), 4.536 Å, rel. 550
- (1 0 1), 5.798 Å, rel. 484
- (1 1 6), 2.766 Å, rel. 481
- (3 0 6), 1.821 Å, rel. 463

abc: 6.8407 6.8407 28.2001
angles: 90.00 90.00 120.00
Space group R-3m (No. 166, hexagonal axes)
Asymmetric unit:
In: 0.0000 0.0000 0.1482 x6
S: 0.0000 0.0000 0.0000 x3
S: 0.1062 0.2124 0.7521 x18
S: 0.1067 0.2133 0.6186 x18

---

(3)
For In3SbS2, a GGA-PBE-relaxed structure gives the calculated X-ray powder pattern in this record (Cu Ka).

Top 10 peaks for 2θ from 10° to 90°, in order of falling intensity:
- (1 -1 0), 2.992 Å, rel. 1000
- (1 -1 6), 2.076 Å, rel. 621
- (0 0 6), 2.881 Å, rel. 439
- (2 0 0), 2.082 Å, rel. 185
- (2 0 6), 1.687 Å, rel. 171
- (0 1 3), 3.448 Å, rel. 151
- (0 2 0), 2.152 Å, rel. 151
- (0 2 6), 1.724 Å, rel. 134
- (1 0 3), 3.375 Å, rel. 127
- (2 -2 0), 1.496 Å, rel. 116

abc: 4.1632 4.3039 17.2882
angles: 90.00 90.00 90.01
Space group P1 (No. 1)
Asymmetric unit:
In: 0.0000 0.0000 0.0000 x1
In: 0.0011 0.1073 0.6620 x1
In: 0.4975 0.5482 0.1612 x1
In: 0.4996 0.5008 0.4779 x1
In: 0.5012 0.6073 0.8161 x1
In: 0.9976 0.0479 0.3168 x1
Sb: 0.9997 0.9961 0.4956 x1
Sb: 0.5001 0.4950 0.9824 x1
S: 0.0012 0.9997 0.8089 x1
S: 0.4978 0.5043 0.3191 x1
S: 0.5011 0.4996 0.6692 x1
S: 0.9985 0.0041 0.1588 x1

---

(4)
For In4SbS8, a GGA-PBE-relaxed structure gives the calculated X-ray powder pattern in this record (Cu Ka).

Top 10 peaks for 2θ from 10° to 90°, in order of falling intensity:
- (3 1 1), 3.295 Å, rel. 1000
- (4 4 0), 1.932 Å, rel. 713
- (5 1 1), 2.103 Å, rel. 613
- (4 0 0), 2.732 Å, rel. 556
- (1 1 1), 6.310 Å, rel. 489
- (2 0 0), 5.464 Å, rel. 310
- (3 3 1), 2.507 Å, rel. 225
- (5 5 3), 1.423 Å, rel. 221
- (8 4 4), 1.115 Å, rel. 178
- (4 2 2), 2.231 Å, rel. 153

abc: 10.9288 10.9288 10.9288
angles: 90.00 90.00 90.00
Space group F-43m (No. 216)
Asymmetric unit:
In: 0.1117 0.1117 0.3883 x16
Sb: 0.0000 0.0000 0.0000 x4
S: 0.1228 0.1228 0.6228 x16
S: 0.1354 0.1354 0.1354 x16